1.
Theoretical powder diffraction line list of CaPu2O7 for Cu Kα, 1.54184 Å, from a DFT-relaxed cell (PBE, Alexandria).
Lines closer than 0.1° are merged.

Crystal structure
```
CaPu2O7
1.0
1.920 1.109 10.060
-1.920 1.109 10.060
0.000 -2.217 10.060
Ca Pu O
1 2 7
Direct
0.000 0.000 0.000 Ca
0.432 0.432 0.432 Pu
0.568 0.568 0.568 Pu
0.081 0.081 0.081 O
0.221 0.221 0.221 O
0.366 0.366 0.366 O
0.500 0.500 0.500 O
0.634 0.634 0.634 O
0.779 0.779 0.779 O
0.919 0.919 0.919 O
```

Largest 12 diffraction maxima, sorted by position, 15 to 90 degrees two-theta:
2θ/deg  I (rel.)
17.63  82
26.58  38
26.97  100
27.46  79
30.69  41
34.04  57
36.00  46
47.34  56
50.45  40
50.90  33
55.12  31
67.42  24


2.
Theoretical powder diffraction line list of Ce7Ga2Hg2 for Cu Kα, 1.54184 Å, from a DFT-relaxed cell (PBE, Alexandria).
Lines closer than 0.1° are merged.

Crystal structure
```
Ce7Ga2Hg2
1.0
4.052 -5.644 0.000
4.052 5.644 0.000
0.000 0.000 7.065
Ce Ga Hg
7 2 2
Direct
0.000 0.000 0.000 Ce
0.000 0.500 0.304 Ce
0.000 0.500 0.696 Ce
0.500 0.000 0.304 Ce
0.500 0.000 0.696 Ce
0.500 0.500 0.257 Ce
0.500 0.500 0.743 Ce
0.283 0.717 0.000 Ga
0.717 0.283 0.000 Ga
0.170 0.170 0.500 Hg
0.830 0.830 0.500 Hg
```

Largest 12 diffraction maxima, sorted by position, 15 to 90 degrees two-theta:
2θ/deg  I (rel.)
25.34  74
27.09  54
28.68  79
29.84  34
31.71  99
34.15  34
36.49  34
36.61  60
37.34  100
41.02  36
43.17  32
60.24  34


3.
Theoretical powder diffraction line list of AcSm7Ho3 for Cu Kα, 1.54184 Å, from a DFT-relaxed cell (PBE, Alexandria).
Lines closer than 0.1° are merged.

Crystal structure
```
AcSm7Ho3
1.0
7.220 0.000 0.000
-3.610 6.253 0.000
0.000 0.000 8.718
Ac Sm Ho
1 7 3
Direct
0.000 0.000 0.000 Ac
0.002 0.501 0.010 Sm
0.333 0.167 0.665 Sm
0.333 0.667 0.676 Sm
0.499 0.501 0.010 Sm
0.499 0.998 0.010 Sm
0.833 0.167 0.665 Sm
0.833 0.667 0.665 Sm
0.169 0.337 0.342 Ho
0.169 0.831 0.342 Ho
0.663 0.831 0.342 Ho
```

Largest 12 diffraction maxima, sorted by position, 15 to 90 degrees two-theta:
2θ/deg  I (rel.)
30.37  100
30.77  32
35.33  66
50.57  24
51.08  24
60.14  14
60.37  28
60.83  14
63.19  12
82.35  12
85.06  11
85.86  10


4.
Theoretical powder diffraction line list of RbCuHgSe2 for Cu Kα, 1.54184 Å, from a DFT-relaxed cell (PBE, Alexandria).
Lines closer than 0.1° are merged.

Crystal structure
```
RbCuHgSe2
1.0
7.472 0.000 0.000
0.000 5.730 0.000
-2.015 0.000 7.297
Rb Cu Hg Se
2 2 2 4
Direct
0.000 0.225 0.250 Rb
0.000 0.775 0.750 Rb
0.500 0.000 0.000 Cu
0.500 0.000 0.500 Cu
0.500 0.474 0.250 Hg
0.500 0.526 0.750 Hg
0.278 0.281 0.937 Se
0.278 0.719 0.437 Se
0.722 0.281 0.563 Se
0.722 0.719 0.063 Se
```

Largest 12 diffraction maxima, sorted by position, 15 to 90 degrees two-theta:
2θ/deg  I (rel.)
15.46  43
19.80  50
24.97  61
28.88  63
29.05  100
33.67  65
33.80  46
34.16  56
39.56  36
39.91  43
40.25  67
49.54  38


5.
Theoretical powder diffraction line list of Ac3Sn for Cu Kα, 1.54184 Å, from a DFT-relaxed cell (PBE, Alexandria).
Lines closer than 0.1° are merged.

Crystal structure
```
Ac3Sn
1.0
13.789 0.000 0.000
0.000 13.789 0.000
0.000 0.000 6.789
Ac Sn
24 8
Direct
0.029 0.570 0.242 Ac
0.070 0.971 0.742 Ac
0.110 0.221 0.023 Ac
0.139 0.667 0.731 Ac
0.167 0.861 0.231 Ac
0.221 0.390 0.477 Ac
0.279 0.110 0.477 Ac
0.333 0.639 0.231 Ac
0.361 0.833 0.731 Ac
0.390 0.279 0.023 Ac
0.430 0.529 0.742 Ac
0.471 0.930 0.242 Ac
0.529 0.070 0.758 Ac
0.570 0.471 0.258 Ac
0.610 0.721 0.977 Ac
0.639 0.167 0.269 Ac
0.667 0.361 0.769 Ac
0.721 0.890 0.523 Ac
0.779 0.610 0.523 Ac
0.833 0.139 0.769 Ac
0.861 0.333 0.269 Ac
0.890 0.779 0.977 Ac
0.930 0.029 0.258 Ac
0.971 0.430 0.758 Ac
0.048 0.210 0.527 Sn
0.210 0.452 0.973 Sn
0.290 0.048 0.973 Sn
0.452 0.290 0.527 Sn
0.548 0.710 0.473 Sn
0.710 0.952 0.027 Sn
0.790 0.548 0.027 Sn
0.952 0.790 0.473 Sn
```

Largest 12 diffraction maxima, sorted by position, 15 to 90 degrees two-theta:
2θ/deg  I (rel.)
24.26  20
26.75  100
27.44  38
27.83  64
28.98  67
29.78  76
32.13  31
33.13  30
33.45  37
46.61  35
48.58  27
54.25  26


6.
Theoretical powder diffraction line list of ZrTlOs for Cu Kα, 1.54184 Å, from a DFT-relaxed cell (PBE, Alexandria).
Lines closer than 0.1° are merged.

Crystal structure
```
ZrTlOs
1.0
-1.642 1.909 4.716
1.642 -1.909 4.716
1.642 1.909 -4.716
Zr Tl Os
1 1 1
Direct
0.000 0.000 0.000 Zr
0.311 0.311 0.000 Tl
0.636 0.636 0.000 Os
```

Largest 12 diffraction maxima, sorted by position, 15 to 90 degrees two-theta:
2θ/deg  I (rel.)
25.16  14
28.78  10
36.07  100
37.04  89
39.69  74
47.63  23
56.00  14
58.74  10
63.68  37
69.06  29
70.90  24
76.52  11


7.
Theoretical powder diffraction line list of CsAgBiS3 for Cu Kα, 1.54184 Å, from a DFT-relaxed cell (PBE, Alexandria).
Lines closer than 0.1° are merged.

Crystal structure
```
CsAgBiS3
1.0
7.787 0.000 0.000
-3.894 6.744 0.000
0.000 0.000 7.435
Cs Ag Bi S
2 2 2 6
Direct
0.333 0.667 0.250 Cs
0.667 0.333 0.750 Cs
0.333 0.667 0.750 Ag
0.667 0.333 0.250 Ag
0.000 0.000 0.000 Bi
0.000 0.000 0.500 Bi
0.155 0.310 0.750 S
0.155 0.845 0.750 S
0.310 0.155 0.250 S
0.690 0.845 0.750 S
0.845 0.155 0.250 S
0.845 0.690 0.250 S
```

Largest 12 diffraction maxima, sorted by position, 15 to 90 degrees two-theta:
2θ/deg  I (rel.)
22.84  100
27.39  67
35.96  52
40.11  23
43.03  48
46.66  25
54.72  19
54.95  21
60.28  11
63.18  13
69.98  15
83.85  12


8.
Theoretical powder diffraction line list of LiNi2Ag for Cu Kα, 1.54184 Å, from a DFT-relaxed cell (PBE, Alexandria).
Lines closer than 0.1° are merged.

Crystal structure
```
LiNi2Ag
1.0
2.517 -3.957 0.000
2.517 3.957 0.000
0.000 0.000 2.631
Li Ni Ag
1 2 1
Direct
0.000 0.000 0.000 Li
0.000 0.500 0.500 Ni
0.500 0.000 0.500 Ni
0.500 0.500 0.000 Ag
```

Largest 12 diffraction maxima, sorted by position, 15 to 90 degrees two-theta:
2θ/deg  I (rel.)
20.91  100
38.53  21
40.33  36
41.21  90
42.57  82
45.87  33
50.16  49
52.37  16
70.31  34
81.67  11
87.17  19
89.89  18


Please write out number 3 again, unchanged.
Theoretical powder diffraction line list of AcSm7Ho3 for Cu Kα, 1.54184 Å, from a DFT-relaxed cell (PBE, Alexandria).
Lines closer than 0.1° are merged.

Crystal structure
```
AcSm7Ho3
1.0
7.220 0.000 0.000
-3.610 6.253 0.000
0.000 0.000 8.718
Ac Sm Ho
1 7 3
Direct
0.000 0.000 0.000 Ac
0.002 0.501 0.010 Sm
0.333 0.167 0.665 Sm
0.333 0.667 0.676 Sm
0.499 0.501 0.010 Sm
0.499 0.998 0.010 Sm
0.833 0.167 0.665 Sm
0.833 0.667 0.665 Sm
0.169 0.337 0.342 Ho
0.169 0.831 0.342 Ho
0.663 0.831 0.342 Ho
```

Largest 12 diffraction maxima, sorted by position, 15 to 90 degrees two-theta:
2θ/deg  I (rel.)
30.37  100
30.77  32
35.33  66
50.57  24
51.08  24
60.14  14
60.37  28
60.83  14
63.19  12
82.35  12
85.06  11
85.86  10


Please write out number 3 again, unchanged.
Theoretical powder diffraction line list of AcSm7Ho3 for Cu Kα, 1.54184 Å, from a DFT-relaxed cell (PBE, Alexandria).
Lines closer than 0.1° are merged.

Crystal structure
```
AcSm7Ho3
1.0
7.220 0.000 0.000
-3.610 6.253 0.000
0.000 0.000 8.718
Ac Sm Ho
1 7 3
Direct
0.000 0.000 0.000 Ac
0.002 0.501 0.010 Sm
0.333 0.167 0.665 Sm
0.333 0.667 0.676 Sm
0.499 0.501 0.010 Sm
0.499 0.998 0.010 Sm
0.833 0.167 0.665 Sm
0.833 0.667 0.665 Sm
0.169 0.337 0.342 Ho
0.169 0.831 0.342 Ho
0.663 0.831 0.342 Ho
```

Largest 12 diffraction maxima, sorted by position, 15 to 90 degrees two-theta:
2θ/deg  I (rel.)
30.37  100
30.77  32
35.33  66
50.57  24
51.08  24
60.14  14
60.37  28
60.83  14
63.19  12
82.35  12
85.06  11
85.86  10